For KMgNiSb, DFT lattice parameters and positions (GGA-PBE) gives the simulated X-ray diffraction stick pattern in this record (Cu Kα X-rays).
No peak broadening, texture or thermal motion is included.

Atomic structure:
```
KMgNiSb
1.0
0.000 3.502 3.502
3.502 0.000 3.502
3.502 3.502 0.000
K Mg Ni Sb
1 1 1 1
Direct
0.000 0.000 0.000
0.250 0.250 0.250
0.500 0.500 0.500
0.750 0.750 0.750
```

Main lines, by angle (2θ = 10–80°):
22.0 deg, d 4.044, rel. 36
25.4 deg, d 3.502, rel. 3
36.3 deg, d 2.476, rel. 100
42.8 deg, d 2.112, rel. 19
52.2 deg, d 1.751, rel. 17
57.3 deg, d 1.607, rel. 8
59.0 deg, d 1.566, rel. 2
65.3 deg, d 1.430, rel. 33
69.8 deg, d 1.348, rel. 6
77.0 deg, d 1.238, rel. 10

---

For Ag2SnHgS4, DFT lattice parameters and positions (GGA-PBE) gives the simulated X-ray diffraction stick pattern in this record (Cu Kα X-rays).
No peak broadening, texture or thermal motion is included.

Atomic structure:
```
Ag2SnHgS4
1.0
8.181 0.000 0.000
0.000 7.262 0.000
0.000 0.000 6.854
Ag Sn Hg S
4 2 2 8
Direct
0.246 0.166 0.000
0.254 0.834 0.500
0.746 0.834 0.500
0.754 0.166 0.000
0.000 0.666 0.012
0.500 0.334 0.512
0.000 0.357 0.512
0.500 0.643 0.012
0.000 0.349 0.131
0.000 0.684 0.655
0.242 0.833 0.128
0.258 0.167 0.628
0.500 0.316 0.155
0.500 0.651 0.631
0.742 0.167 0.628
0.758 0.833 0.128
```

Main lines, by angle (2θ = 10–80°):
25.0 deg, d 3.564, rel. 62
26.0 deg, d 3.427, rel. 64
27.8 deg, d 3.209, rel. 63
28.2 deg, d 3.162, rel. 100
36.4 deg, d 2.470, rel. 32
43.4 deg, d 2.083, rel. 45
47.0 deg, d 1.934, rel. 28
47.3 deg, d 1.923, rel. 49
51.3 deg, d 1.780, rel. 42
52.1 deg, d 1.756, rel. 25

---

For Ag5P2O10, DFT lattice parameters and positions (GGA-PBE) gives the simulated X-ray diffraction stick pattern in this record (Cu Kα X-rays).
No peak broadening, texture or thermal motion is included.

Atomic structure:
```
Ag5P2O10
1.0
5.321 0.000 0.000
-1.672 5.334 0.000
-0.514 -0.984 7.794
Ag P O
5 2 10
Direct
0.000 0.000 0.000
0.107 0.293 0.611
0.308 0.669 0.036
0.692 0.331 0.964
0.893 0.707 0.389
0.451 0.148 0.301
0.549 0.852 0.699
0.037 0.428 0.849
0.182 0.075 0.383
0.340 0.659 0.572
0.386 0.261 0.132
0.458 0.085 0.753
0.542 0.915 0.247
0.614 0.739 0.868
0.660 0.341 0.428
0.818 0.925 0.617
0.963 0.572 0.151
```

Main lines, by angle (2θ = 10–80°):
11.4 deg, d 7.794, rel. 59
22.8 deg, d 3.897, rel. 60
23.1 deg, d 3.853, rel. 64
27.5 deg, d 3.247, rel. 63
30.4 deg, d 2.940, rel. 51
31.7 deg, d 2.822, rel. 100
33.7 deg, d 2.659, rel. 61
34.2 deg, d 2.623, rel. 62
34.3 deg, d 2.612, rel. 97
35.9 deg, d 2.505, rel. 55

---

For Ag2Hg2SeF6, DFT lattice parameters and positions (GGA-PBE) gives the simulated X-ray diffraction stick pattern in this record (Cu Kα X-rays).
No peak broadening, texture or thermal motion is included.

Atomic structure:
```
Ag2Hg2SeF6
1.0
0.000 5.606 5.606
5.606 0.000 5.606
5.606 5.606 0.000
Ag Hg Se F
4 4 2 12
Direct
0.000 0.000 0.000
0.000 0.000 0.500
0.000 0.500 0.000
0.500 0.000 0.000
0.000 0.500 0.500
0.500 0.000 0.500
0.500 0.500 0.000
0.500 0.500 0.500
0.375 0.375 0.375
0.625 0.625 0.625
0.083 0.083 0.667
0.083 0.667 0.083
0.083 0.667 0.667
0.333 0.333 0.917
0.333 0.917 0.333
0.333 0.917 0.917
0.667 0.083 0.083
0.667 0.083 0.667
0.667 0.667 0.083
0.917 0.333 0.333
0.917 0.333 0.917
0.917 0.917 0.333
```

Main lines, by angle (2θ = 10–80°):
13.7 deg, d 6.473, rel. 18
27.6 deg, d 3.237, rel. 100
31.9 deg, d 2.803, rel. 26
34.9 deg, d 2.572, rel. 13
45.8 deg, d 1.982, rel. 59
54.3 deg, d 1.690, rel. 46
56.9 deg, d 1.618, rel. 8
66.7 deg, d 1.401, rel. 9
73.7 deg, d 1.286, rel. 18
75.9 deg, d 1.254, rel. 12

---

For La5Cu19P12, DFT lattice parameters and positions (GGA-PBE) gives the simulated X-ray diffraction stick pattern in this record (Cu Kα X-rays).
No peak broadening, texture or thermal motion is included.

Atomic structure:
```
La5Cu19P12
1.0
12.708 0.000 0.000
-6.354 11.005 0.000
0.000 0.000 3.970
La Cu P
5 19 12
Direct
0.000 0.808 0.000
0.192 0.192 0.000
0.333 0.667 0.500
0.667 0.333 0.500
0.808 0.000 0.000
0.000 0.000 0.500
0.000 0.288 0.000
0.000 0.450 0.500
0.118 0.635 0.000
0.173 0.379 0.500
0.206 0.827 0.500
0.288 0.000 0.000
0.365 0.483 0.000
0.379 0.173 0.500
0.450 0.000 0.500
0.483 0.365 0.000
0.517 0.882 0.000
0.550 0.550 0.500
0.621 0.794 0.500
0.635 0.118 0.000
0.712 0.712 0.000
0.794 0.621 0.500
0.827 0.206 0.500
0.882 0.517 0.000
0.000 0.177 0.500
0.000 0.631 0.500
0.172 0.480 0.000
0.177 0.000 0.500
0.308 0.828 0.000
0.369 0.369 0.500
0.480 0.172 0.000
0.520 0.692 0.000
0.631 0.000 0.500
0.692 0.520 0.000
0.823 0.823 0.500
0.828 0.308 0.000
```

Main lines, by angle (2θ = 10–80°):
26.5 deg, d 3.367, rel. 11
28.1 deg, d 3.177, rel. 10
36.2 deg, d 2.480, rel. 100
37.2 deg, d 2.420, rel. 24
37.4 deg, d 2.402, rel. 19
45.7 deg, d 1.985, rel. 24
49.7 deg, d 1.834, rel. 15
68.6 deg, d 1.368, rel. 12
69.8 deg, d 1.347, rel. 11
78.3 deg, d 1.222, rel. 10

---

For DyTeAuO, DFT lattice parameters and positions (GGA-PBE) gives the simulated X-ray diffraction stick pattern in this record (Cu Kα X-rays).
No peak broadening, texture or thermal motion is included.

Atomic structure:
```
DyTeAuO
1.0
20.692 0.000 0.000
0.000 2.849 2.855
0.000 -2.849 2.855
Dy Te Au O
4 4 4 4
Direct
0.052 0.250 0.750
0.448 0.750 0.250
0.552 0.250 0.750
0.948 0.750 0.250
0.139 0.749 0.252
0.361 0.249 0.752
0.639 0.752 0.249
0.861 0.252 0.749
0.250 0.001 0.006
0.250 0.501 0.506
0.750 0.006 0.001
0.750 0.506 0.501
0.000 0.250 0.250
0.000 0.750 0.750
0.500 0.250 0.250
0.500 0.750 0.750
```

Main lines, by angle (2θ = 10–80°):
17.1 deg, d 5.173, rel. 38
28.1 deg, d 3.181, rel. 93
31.3 deg, d 2.854, rel. 100
32.6 deg, d 2.747, rel. 77
34.2 deg, d 2.621, rel. 95
36.0 deg, d 2.496, rel. 60
45.8 deg, d 1.979, rel. 66
48.5 deg, d 1.879, rel. 36
54.8 deg, d 1.675, rel. 42
57.7 deg, d 1.598, rel. 42